Simulated X-ray diffraction stick pattern of Ce5ScPb4 for Cu Kα (λ = 1.5418 Å), from a structure optimized by DFT (GGA-PBE).
Intensities are scaled so that the largest is 100.

Largest 6 diffraction maxima, most intense first, 2θ = 10–90°:
2θ = 31.8°, I 100; 2θ = 31.3°, I 53; 2θ = 39.9°, I 39; 2θ = 31.6°, I 37; 2θ = 35.4°, I 33; 2θ = 27.8°, I 31

Cell and atoms:
a b c (Å): 8.7936 8.7936 10.0517
angles (deg): 94.72 94.72 23.00
Fractional coordinates of all 10 atoms:
1 Ce 0.0000 0.0000 0.0000
2 Ce 0.3181 0.3181 0.9034
3 Ce 0.3356 0.3356 0.2645
4 Ce 0.6644 0.6644 0.7355
5 Ce 0.6819 0.6819 0.0966
6 Sc 0.0000 0.0000 0.5000
7 Pb 0.1738 0.1738 0.4205
8 Pb 0.4765 0.4765 0.7314
9 Pb 0.5235 0.5235 0.2686
10 Pb 0.8262 0.8262 0.5795



Simulated X-ray diffraction stick pattern of Ce4ScPb2 for Cu Kα (λ = 1.5418 Å), from a structure optimized by DFT (GGA-PBE).
Intensities are scaled so that the largest is 100.

Largest 6 diffraction maxima, most intense first, 2θ = 10–90°:
2θ = 32.8°, I 100; 2θ = 38.7°, I 18; 2θ = 36.4°, I 16; 2θ = 39.0°, I 14; 2θ = 27.2°, I 14; 2θ = 19.1°, I 13

Cell and atoms:
a b c (Å): 9.2478 9.8751 4.6517
angles (deg): 90.00 90.00 90.00
Fractional coordinates of all 14 atoms:
1 Ce 0.2133 0.0000 0.0000
2 Ce 0.2500 0.2500 0.5000
3 Ce 0.2500 0.7500 0.5000
4 Ce 0.2867 0.5000 0.0000
5 Ce 0.7133 0.5000 0.0000
6 Ce 0.7500 0.2500 0.5000
7 Ce 0.7500 0.7500 0.5000
8 Ce 0.7867 0.0000 0.0000
9 Sc 0.0000 0.5000 0.5000
10 Sc 0.5000 0.0000 0.5000
11 Pb 0.0000 0.2836 0.0000
12 Pb 0.0000 0.7164 0.0000
13 Pb 0.5000 0.2164 0.0000
14 Pb 0.5000 0.7836 0.0000



Simulated X-ray diffraction stick pattern of Ce3PbSe2 for Cu Kα (λ = 1.5418 Å), from a structure optimized by DFT (GGA-PBE).
Intensities are scaled so that the largest is 100.

Largest 6 diffraction maxima, most intense first, 2θ = 10–90°:
2θ = 29.2°, I 100; 2θ = 41.6°, I 96; 2θ = 29.0°, I 52; 2θ = 51.6°, I 21; 2θ = 76.0°, I 19; 2θ = 51.7°, I 19

Cell and atoms:
a b c (Å): 4.3381 6.1492 12.9605
angles (deg): 90.00 90.00 90.00
Fractional coordinates of all 12 atoms:
1 Ce 0.0000 0.0000 0.0000
2 Ce 0.0000 0.0000 0.3205
3 Ce 0.0000 0.0000 0.6795
4 Ce 0.5000 0.5000 0.1795
5 Ce 0.5000 0.5000 0.5000
6 Ce 0.5000 0.5000 0.8205
7 Pb 0.0000 0.5000 0.0000
8 Pb 0.5000 0.0000 0.5000
9 Se 0.0000 0.5000 0.3375
10 Se 0.0000 0.5000 0.6625
11 Se 0.5000 0.0000 0.1625
12 Se 0.5000 0.0000 0.8375



Simulated X-ray diffraction stick pattern of CePb3Se6 for Cu Kα (λ = 1.5418 Å), from a structure optimized by DFT (GGA-PBE).
Intensities are scaled so that the largest is 100.

Largest 6 diffraction maxima, most intense first, 2θ = 10–90°:
2θ = 24.0°, I 100; 2θ = 28.0°, I 97; 2θ = 27.7°, I 93; 2θ = 22.1°, I 91; 2θ = 21.0°, I 84; 2θ = 42.4°, I 78

Cell and atoms:
a b c (Å): 12.0890 4.2596 12.7615
angles (deg): 90.00 105.49 90.00
Fractional coordinates of all 20 atoms:
1 Ce 0.0263 0.2500 0.1628
2 Ce 0.9737 0.7500 0.8372
3 Pb 0.1626 0.2500 0.5843
4 Pb 0.3413 0.7500 0.9750
5 Pb 0.4476 0.2500 0.3408
6 Pb 0.5524 0.7500 0.6592
7 Pb 0.6587 0.2500 0.0250
8 Pb 0.8374 0.7500 0.4157
9 Se 0.0941 0.7500 0.3349
10 Se 0.1103 0.2500 0.9646
11 Se 0.1713 0.7500 0.7352
12 Se 0.2126 0.7500 0.2136
13 Se 0.3925 0.2500 0.5750
14 Se 0.4634 0.2500 0.1161
15 Se 0.5366 0.7500 0.8839
16 Se 0.6075 0.7500 0.4250
17 Se 0.7874 0.2500 0.7864
18 Se 0.8287 0.2500 0.2648
19 Se 0.8897 0.7500 0.0354
20 Se 0.9059 0.2500 0.6651